Entry 1:
The following is a calculated XRD peak list of Tb8ZnCu2. It was derived from a cell relaxed with GGA-PBE, using Cu Kα.

Top 10 peaks for 2θ = 10–90°, by angle:
| (hkl) | two_theta | I_rel |
| --- | --- | --- |
| 3 1 1 | 29.7 | 70.1 |
| 5 1 -1 | 31.4 | 100.0 |
| 1 1 -2 | 31.7 | 97.8 |
| 5 1 0 | 31.9 | 52.2 |
| 3 1 -2 | 32.5 | 26.2 |
| 1 1 2 | 34.5 | 47.5 |
| 0 2 0 | 35.2 | 88.0 |
| 5 1 -2 | 36.7 | 22.2 |
| 2 0 3 | 46.4 | 22.6 |
| 11 1 -2 | 61.6 | 17.5 |

Structural model:
a = 17.6041 Å, b = 5.1057 Å, c = 6.8087 Å
α = 90.00°, β = 107.50°, γ = 90.00°
Space group C2/m (No. 12)
Inequivalent atoms, fractional coordinates:
1 Tb 0.0320 0.0000 0.2816
2 Tb 0.0933 0.5000 0.9644
3 Tb 0.1726 0.5000 0.4871
4 Tb 0.1972 0.0000 0.8278
5 Zn 0.0000 0.5000 0.5000
6 Cu 0.1811 0.0000 0.2211

---

Entry 2:
The following is a calculated XRD peak list of Tb4ZnCu3. It was derived from a cell relaxed with GGA-PBE, using Cu Kα.

Top 10 peaks for 2θ = 10–90°, by angle:
| (hkl) | two_theta | I_rel |
| --- | --- | --- |
| 1 0 0 | 25.4 | 22.0 |
| 1 1 2 | 36.2 | 100.0 |
| 0 0 4 | 36.2 | 19.8 |
| 1 2 0 | 44.7 | 6.6 |
| 2 0 0 | 52.1 | 20.8 |
| 2 2 0 | 65.1 | 21.0 |
| 2 0 4 | 65.2 | 20.7 |
| 2 2 4 | 76.9 | 10.6 |
| 1 3 6 | 88.0 | 9.1 |
| 3 1 2 | 88.1 | 6.2 |

Structural model:
a = 3.5055 Å, b = 4.9716 Å, c = 9.9148 Å
α = 90.00°, β = 90.00°, γ = 90.00°
Space group Pmmm (No. 47)
Inequivalent atoms, fractional coordinates:
1 Tb 0.0000 0.0000 0.0000
2 Tb 0.0000 0.0000 0.5000
3 Tb 0.0000 0.5000 0.2446
4 Zn 0.5000 0.5000 0.5000
5 Cu 0.5000 0.0000 0.2520
6 Cu 0.5000 0.5000 0.0000

---

Entry 3:
The following is a calculated XRD peak list of Tb2Zn15Cu2. It was derived from a cell relaxed with GGA-PBE, using Cu Kα.

Top 10 peaks for 2θ = 10–90°, by angle:
| (hkl) | two_theta | I_rel |
| --- | --- | --- |
| 1 1 3 | 28.6 | 30.3 |
| 3 0 0 | 34.8 | 38.3 |
| 0 2 4 | 35.9 | 27.5 |
| 2 2 0 | 40.4 | 63.7 |
| 0 3 3 | 40.7 | 100.0 |
| 0 0 6 | 41.3 | 34.4 |
| 2 0 5 | 41.6 | 23.6 |
| 2 2 3 | 45.7 | 28.9 |
| 2 2 6 | 59.2 | 24.1 |
| 6 0 0 | 73.5 | 22.9 |

Structural model:
a = 8.9222 Å, b = 8.9222 Å, c = 13.1194 Å
α = 90.00°, β = 90.00°, γ = 120.00°
Space group R-3m (No. 166, hexagonal axes)
Inequivalent atoms, fractional coordinates:
1 Tb 0.0000 0.0000 0.1650
2 Zn 0.0000 0.2906 0.5000
3 Zn 0.0000 0.5000 0.0000
4 Zn 0.0060 0.5030 0.6513
5 Cu 0.0000 0.0000 0.3996